# Li3MnNb4O12
Calculated PXRD pattern, λ = 1.5418 Å (Cu Kα). Input: a crystal structure in Alexandria, relaxed with GGA+U.
No peak broadening, texture or thermal motion is included.

The 10 most intense peaks (2θ = 15–90°), sorted by position:
d_spacing, Position (°2θ), I_rel, index
3.844, 23.1, 1000, 1 1 0
2.800, 32.0, 567, 1 -1 2
2.643, 33.9, 385, 2 0 0
2.306, 39.1, 103, 1 2 1
2.178, 41.5, 102, 2 0 2
1.920, 47.3, 188, 0 0 4
1.760, 51.9, 281, 1 1 -4
1.651, 55.7, 94, 0 2 -4
1.555, 59.4, 139, 3 -1 2
1.526, 60.7, 113, -3 1 2

Crystal structure
```
20
Lattice="5.286 0.000 0.000 -0.014 5.622 0.000 -0.008 -0.649 7.684" Properties=species:S:1:pos:R:3 pbc="T T T"
Li 0.000 0.000 0.000
Li 5.281 -0.294 3.821
Li 2.641 2.767 0.026
Mn 2.618 2.485 3.818
Nb 0.005 3.007 1.599
Nb 2.630 -0.043 5.520
Nb 2.673 0.168 1.627
Nb 5.261 2.789 5.530
O 0.594 3.043 3.500
O 0.955 4.562 5.848
O 1.024 1.477 1.074
O 1.596 4.269 1.094
O 1.643 1.758 5.840
O 2.009 0.251 3.495
O 3.265 -0.095 7.360
O 3.581 2.096 1.981
O 3.655 3.985 4.916
O 4.210 1.191 4.929
O 4.307 4.898 2.007
O 4.621 2.736 7.364
```